Theoretical powder diffraction line list of NaCaFeSi4O12 for a wavelength of 1.5418 Å, from a DFT-relaxed cell (PBE+U, Alexandria).
Neutral-atom scattering factors, no anomalous dispersion.

Largest 8 diffraction maxima, in order of rising 2θ, 10° ≤ 2θ ≤ 90°:
d (Å), 2θ/deg, I/Imax, index
5.099, 17.39, 359, 0 0 1
4.458, 19.91, 309, 1 1 -1
3.304, 26.99, 370, 2 2 0
3.043, 29.35, 1000, 2 2 -1
3.009, 29.69, 424, 3 1 0
2.940, 30.41, 356, 3 1 -1
2.564, 35.00, 377, 2 2 1
2.550, 35.20, 494, 0 0 2

Structural model:
Unit cell a=9.9280 b=9.1428 c=5.2951 alpha=90.00 beta=105.63 gamma=90.00
Space group C2 (No. 5)
Symmetry-distinct sites (fractional):
Na (0.0000, 0.0000, 0.0000) [2 per cell]
Ca (0.0000, 0.4214, 0.5000) [2 per cell]
Fe (0.0000, 0.7923, 0.5000) [2 per cell]
Si (0.2096, 0.2886, 0.0252) [4 per cell]
Si (0.2122, 0.1113, 0.5145) [4 per cell]
O (0.1204, 0.6238, 0.4334) [4 per cell]
O (0.1217, 0.8083, 0.8722) [4 per cell]
O (0.1331, 0.4460, 0.9454) [4 per cell]
O (0.1398, 0.2116, 0.2451) [4 per cell]
O (0.1425, 0.9502, 0.4478) [4 per cell]
O (0.1577, 0.1897, 0.7518) [4 per cell]